For ZnC4N2O6, the GGA-PBE geometry in the Materials Project gives the theoretical powder diffraction line list in this record (Cu Kα, 1.54184 Å).
Kinematic intensities with the Lorentz-polarization factor, no thermal factor.

Peak list (10 most intense, 2θ from 10° to 90°, in order of rising 2θ)
2θ (°)  Rel. int.
13.3  26.0
14.3  61.4
19.6  100.0
20.9  12.3
22.6  16.9
23.3  10.9
28.9  24.3
31.9  11.8
35.8  15.3
46.1  13.0

Crystal structure
Lattice parameters (Å, degrees): 9.018 13.291 8.505 90.00 90.00 90.00
Element x y z (fractional)
1 Zn 0.014 0.241 0.000
2 Zn 0.486 0.741 0.500
3 Zn 0.514 0.259 0.500
4 Zn 0.986 0.759 0.000
5 C 0.000 0.000 0.147
6 C 0.000 0.000 0.522
7 C 0.000 0.500 0.521
8 C 0.000 0.500 0.910
9 C 0.231 0.695 0.274
10 C 0.243 0.804 0.768
11 C 0.257 0.304 0.268
12 C 0.269 0.195 0.774
13 C 0.500 0.000 0.021
14 C 0.500 0.000 0.410
15 C 0.500 0.500 0.022
16 C 0.500 0.500 0.647
17 C 0.731 0.805 0.774
18 C 0.743 0.696 0.268
19 C 0.757 0.196 0.768
20 C 0.769 0.305 0.274
21 N 0.152 0.799 0.868
22 N 0.184 0.193 0.881
23 N 0.316 0.693 0.381
24 N 0.348 0.299 0.368
25 N 0.652 0.701 0.368
26 N 0.684 0.307 0.381
27 N 0.816 0.807 0.881
28 N 0.848 0.201 0.868
29 O 0.009 0.088 0.151
30 O 0.018 0.413 0.906
31 O 0.095 0.439 0.522
32 O 0.098 0.059 0.520
33 O 0.142 0.693 0.167
34 O 0.163 0.315 0.167
35 O 0.337 0.815 0.667
36 O 0.358 0.193 0.667
37 O 0.402 0.559 0.020
38 O 0.405 0.939 0.022
39 O 0.482 0.913 0.406
40 O 0.491 0.588 0.651
41 O 0.509 0.412 0.651
42 O 0.518 0.087 0.406
43 O 0.595 0.061 0.022
44 O 0.598 0.441 0.020
45 O 0.642 0.807 0.667
46 O 0.663 0.185 0.667
47 O 0.837 0.685 0.167
48 O 0.858 0.307 0.167
49 O 0.902 0.941 0.520
50 O 0.905 0.561 0.522
51 O 0.982 0.587 0.906
52 O 0.991 0.912 0.151



For Al2Se3O12, the GGA-PBE geometry in the Materials Project gives the theoretical powder diffraction line list in this record (Cu Kα, 1.54184 Å).
Kinematic intensities with the Lorentz-polarization factor, no thermal factor.

Peak list (10 most intense, 2θ from 10° to 90°, in order of rising 2θ)
2θ (°)  Rel. int.
14.4  19.2
23.7  18.8
24.1  100.0
29.0  12.4
31.8  18.2
32.5  13.8
36.7  8.3
41.9  15.2
44.1  7.6
49.3  5.7

Crystal structure
Lattice parameters (Å, degrees): 8.972 8.972 8.972 56.42 56.42 56.42
Element x y z (fractional)
1 Al 0.144 0.144 0.144
2 Al 0.352 0.352 0.352
3 Al 0.648 0.648 0.648
4 Al 0.856 0.856 0.856
5 Se 0.036 0.460 0.751
6 Se 0.249 0.964 0.540
7 Se 0.460 0.751 0.036
8 Se 0.540 0.249 0.964
9 Se 0.751 0.036 0.460
10 Se 0.964 0.540 0.249
11 O 0.010 0.631 0.797
12 O 0.097 0.882 0.754
13 O 0.118 0.246 0.903
14 O 0.174 0.521 0.221
15 O 0.195 0.483 0.530
16 O 0.203 0.990 0.369
17 O 0.221 0.174 0.521
18 O 0.246 0.903 0.118
19 O 0.369 0.203 0.990
20 O 0.470 0.805 0.517
21 O 0.479 0.779 0.826
22 O 0.483 0.530 0.195
23 O 0.517 0.470 0.805
24 O 0.521 0.221 0.174
25 O 0.530 0.195 0.483
26 O 0.631 0.797 0.010
27 O 0.754 0.097 0.882
28 O 0.779 0.826 0.479
29 O 0.797 0.010 0.631
30 O 0.805 0.517 0.470
31 O 0.826 0.479 0.779
32 O 0.882 0.754 0.097
33 O 0.903 0.118 0.246
34 O 0.990 0.369 0.203



For MnCr4CdS8, the GGA-PBE geometry in the Materials Project gives the theoretical powder diffraction line list in this record (Cu Kα, 1.54184 Å).
Kinematic intensities with the Lorentz-polarization factor, no thermal factor.

Peak list (10 most intense, 2θ from 10° to 90°, in order of rising 2θ)
2θ (°)  Rel. int.
24.6  49.3
28.9  100.0
35.0  25.7
43.3  17.6
46.0  52.6
50.4  74.3
59.1  12.7
68.6  11.2
70.6  17.5
81.4  12.8

Crystal structure
Lattice parameters (Å, degrees): 7.243 7.243 7.243 60.00 60.00 60.00
Element x y z (fractional)
1 Mn 0.000 0.000 0.000
2 Cr 0.375 0.375 0.375
3 Cr 0.375 0.375 0.874
4 Cr 0.375 0.874 0.375
5 Cr 0.874 0.375 0.375
6 Cd 0.750 0.750 0.750
7 S 0.136 0.136 0.136
8 S 0.136 0.136 0.592
9 S 0.136 0.592 0.136
10 S 0.173 0.609 0.609
11 S 0.592 0.136 0.136
12 S 0.609 0.173 0.609
13 S 0.609 0.609 0.173
14 S 0.609 0.609 0.609



For Ba2UCu2S5, the GGA-PBE geometry in the Materials Project gives the theoretical powder diffraction line list in this record (Cu Kα, 1.54184 Å).
Kinematic intensities with the Lorentz-polarization factor, no thermal factor.

Peak list (10 most intense, 2θ from 10° to 90°, in order of rising 2θ)
2θ (°)  Rel. int.
14.4  39.2
19.6  40.6
26.1  56.8
26.7  69.1
29.4  52.6
31.6  100.0
31.9  48.6
35.8  37.3
36.9  38.1
42.9  57.8

Crystal structure
Lattice parameters (Å, degrees): 7.157 7.157 9.383 114.94 114.94 33.07
Element x y z (fractional)
1 Ba 0.176 0.176 0.201
2 Ba 0.824 0.824 0.799
3 U 0.000 0.000 0.500
4 Cu 0.446 0.446 0.203
5 Cu 0.554 0.554 0.797
6 S 0.144 0.144 0.806
7 S 0.390 0.390 0.563
8 S 0.500 0.500 0.000
9 S 0.610 0.610 0.437
10 S 0.856 0.856 0.194



For NdNi12B6, the GGA-PBE geometry in the Materials Project gives the theoretical powder diffraction line list in this record (Cu Kα, 1.54184 Å).
Kinematic intensities with the Lorentz-polarization factor, no thermal factor.

Peak list (10 most intense, 2θ from 10° to 90°, in order of rising 2θ)
2θ (°)  Rel. int.
31.5  26.4
31.6  30.1
32.4  27.5
34.6  49.8
39.2  64.1
40.9  75.1
41.2  100.0
43.8  40.6
49.5  35.0
61.1  27.5

Crystal structure
Lattice parameters (Å, degrees): 6.067 6.067 11.047 90.00 90.00 75.13
Element x y z (fractional)
1 Nd 0.165 0.835 0.500
2 Nd 0.835 0.165 0.000
3 Ni 0.006 0.629 0.938
4 Ni 0.119 0.146 0.757
5 Ni 0.146 0.119 0.257
6 Ni 0.196 0.542 0.736
7 Ni 0.212 0.526 0.277
8 Ni 0.221 0.779 0.101
9 Ni 0.273 0.340 0.069
10 Ni 0.340 0.273 0.569
11 Ni 0.371 0.994 0.938
12 Ni 0.434 0.566 0.920
13 Ni 0.458 0.804 0.736
14 Ni 0.474 0.788 0.277
15 Ni 0.526 0.212 0.777
16 Ni 0.542 0.196 0.236
17 Ni 0.566 0.434 0.420
18 Ni 0.629 0.006 0.438
19 Ni 0.660 0.727 0.069
20 Ni 0.727 0.660 0.569
21 Ni 0.779 0.221 0.601
22 Ni 0.788 0.474 0.777
23 Ni 0.804 0.458 0.236
24 Ni 0.854 0.881 0.757
25 Ni 0.881 0.854 0.257
26 Ni 0.994 0.371 0.438
27 B 0.012 0.401 0.624
28 B 0.164 0.836 0.837
29 B 0.247 0.324 0.887
30 B 0.324 0.247 0.387
31 B 0.401 0.012 0.124
32 B 0.489 0.511 0.156
33 B 0.511 0.489 0.656
34 B 0.599 0.988 0.624
35 B 0.676 0.753 0.887
36 B 0.753 0.676 0.387
37 B 0.836 0.164 0.337
38 B 0.988 0.599 0.124



For BC3, the GGA-PBE geometry in the Materials Project gives the theoretical powder diffraction line list in this record (Cu Kα, 1.54184 Å).
Kinematic intensities with the Lorentz-polarization factor, no thermal factor.

Peak list (10 most intense, 2θ from 10° to 90°, in order of rising 2θ)
2θ (°)  Rel. int.
17.1  2.2
24.3  6.3
29.8  3.1
38.8  1.8
42.7  100.0
62.0  1.2
70.3  1.1
73.0  37.4
75.6  1.1
88.4  22.7

Crystal structure
Lattice parameters (Å, degrees): 6.352 6.352 6.352 109.47 109.47 109.47
Element x y z (fractional)
1 B 0.000 0.000 0.206
2 B 0.000 0.000 0.516
3 B 0.000 0.206 0.000
4 B 0.000 0.516 0.000
5 B 0.206 0.000 0.000
6 B 0.484 0.484 0.484
7 B 0.516 0.000 0.000
8 B 0.794 0.794 0.794
9 C 0.000 0.267 0.267
10 C 0.000 0.494 0.742
11 C 0.000 0.733 0.733
12 C 0.000 0.742 0.494
13 C 0.248 0.506 0.506
14 C 0.250 0.500 0.750
15 C 0.250 0.750 0.500
16 C 0.258 0.258 0.752
17 C 0.258 0.752 0.258
18 C 0.267 0.000 0.267
19 C 0.267 0.267 0.000
20 C 0.494 0.000 0.742
21 C 0.494 0.742 0.000
22 C 0.500 0.250 0.750
23 C 0.500 0.750 0.250
24 C 0.506 0.248 0.506
25 C 0.506 0.506 0.248
26 C 0.733 0.000 0.733
27 C 0.733 0.733 0.000
28 C 0.742 0.000 0.494
29 C 0.742 0.494 0.000
30 C 0.750 0.250 0.500
31 C 0.750 0.500 0.250
32 C 0.752 0.258 0.258



For DyB4W, the GGA-PBE geometry in the Materials Project gives the theoretical powder diffraction line list in this record (Cu Kα, 1.54184 Å).
Kinematic intensities with the Lorentz-polarization factor, no thermal factor.

Peak list (10 most intense, 2θ from 10° to 90°, in order of rising 2θ)
2θ (°)  Rel. int.
24.6  99.7
30.6  84.0
34.1  27.8
37.0  18.0
37.7  35.4
39.6  100.0
42.5  35.6
45.5  47.8
50.3  21.5
60.1  25.7

Crystal structure
Lattice parameters (Å, degrees): 6.037 11.676 3.626 90.00 90.00 90.00
Element x y z (fractional)
1 Dy 0.127 0.150 0.000
2 Dy 0.373 0.650 0.000
3 Dy 0.627 0.350 0.000
4 Dy 0.873 0.850 0.000
5 B 0.024 0.693 0.500
6 B 0.114 0.547 0.500
7 B 0.133 0.968 0.500
8 B 0.214 0.813 0.500
9 B 0.286 0.313 0.500
10 B 0.367 0.468 0.500
11 B 0.386 0.047 0.500
12 B 0.476 0.193 0.500
13 B 0.524 0.807 0.500
14 B 0.614 0.953 0.500
15 B 0.633 0.532 0.500
16 B 0.714 0.687 0.500
17 B 0.786 0.187 0.500
18 B 0.867 0.032 0.500
19 B 0.886 0.453 0.500
20 B 0.976 0.307 0.500
21 W 0.131 0.416 0.000
22 W 0.369 0.916 0.000
23 W 0.631 0.084 0.000
24 W 0.869 0.584 0.000